K2MgZn4P4H2O16: theoretical powder X-ray diffraction pattern (Cu Kα, 1.54184 Å), based on a GGA-PBE-relaxed structure.
Kinematic intensities with the Lorentz-polarization factor, no thermal factor.

Structural model:
```
data_K2MgZn4P4H2O16
_chemical_formula_sum 'K2 Mg1 Zn4 P4 H2 O16'
_cell_length_a 5.2766
_cell_length_b 9.0922
_cell_length_c 9.6297
_cell_angle_alpha 75.08
_cell_angle_beta 80.23
_cell_angle_gamma 73.28
_space_group_name_H-M_alt 'P -1'
_space_group_IT_number 2
loop_
_space_group_symop_operation_xyz
'x,y,z'
'-x,-y,-z'
loop_
_atom_site_label
_atom_site_fract_x
_atom_site_fract_y
_atom_site_fract_z
K1 0.1992 0.1942 0.3434
Mg1 0.5000 0.0000 0.0000
Zn1 0.1111 0.1128 0.7791
Zn2 0.2959 0.3856 0.8886
P1 0.1727 0.7387 0.9422
P2 0.4095 0.7482 0.3938
H1 0.4533 0.5680 0.6044
O1 0.0087 0.7184 0.0978
O2 0.0444 0.8997 0.8462
O3 0.1070 0.8022 0.3882
O4 0.1419 0.6100 0.8735
O5 0.4550 0.3886 0.6848
O6 0.4604 0.6811 0.5603
O7 0.4624 0.1120 0.6574
O8 0.4667 0.7285 0.9573
```

Most intense lines, 5° ≤ 2θ ≤ 70°, in order of rising 2θ:
two_theta	d_spacing	intensity
9.56	9.255	83
15.64	5.665	59
19.20	4.622	59
20.93	4.244	44
23.02	3.863	29
27.52	3.242	100
30.24	2.955	41
30.92	2.892	36
32.08	2.790	57
34.18	2.623	46

---

NdMn4Co8: theoretical powder X-ray diffraction pattern (Cu Kα, 1.54184 Å), based on a GGA-PBE-relaxed structure.
Kinematic intensities with the Lorentz-polarization factor, no thermal factor.

Structural model:
```
data_NdMn4Co8
_chemical_formula_sum 'Nd2 Mn8 Co16'
_cell_length_a 8.4563
_cell_length_b 8.4563
_cell_length_c 4.5372
_cell_angle_alpha 90.00
_cell_angle_beta 90.00
_cell_angle_gamma 90.00
_space_group_name_H-M_alt 'I 4/m m m'
_space_group_IT_number 139
_space_group_name_Hall '-I 4 2'
loop_
_atom_site_label
_atom_site_fract_x
_atom_site_fract_y
_atom_site_fract_z
Nd1 0.0000 0.0000 0.0000
Mn1 0.2500 0.2500 0.2500
Co1 0.0000 0.2319 0.5000
Co2 0.0000 0.3608 0.0000
```

Most intense lines, 5° ≤ 2θ ≤ 70°, in order of rising 2θ:
two_theta	d_spacing	intensity
30.78	2.905	38
33.51	2.674	14
37.57	2.394	43
39.73	2.269	18
42.77	2.114	63
43.43	2.083	100
45.37	1.999	63
48.12	1.891	12
48.72	1.869	14
50.50	1.807	26

---

Li4B2O5: theoretical powder X-ray diffraction pattern (Cu Kα, 1.54184 Å), based on a GGA-PBE-relaxed structure.
Kinematic intensities with the Lorentz-polarization factor, no thermal factor.

Structural model:
```
data_Li4B2O5
_chemical_formula_sum 'Li8 B4 O10'
_cell_length_a 4.8790
_cell_length_b 7.0213
_cell_length_c 7.0650
_cell_angle_alpha 60.47
_cell_angle_beta 70.17
_cell_angle_gamma 75.04
_space_group_name_H-M_alt 'P -1'
_space_group_IT_number 2
loop_
_space_group_symop_operation_xyz
'x,y,z'
'-x,-y,-z'
loop_
_atom_site_label
_atom_site_fract_x
_atom_site_fract_y
_atom_site_fract_z
Li1 0.0031 0.1900 0.4722
Li2 0.2900 0.8366 0.1561
Li3 0.4707 0.4694 0.1936
Li4 0.4730 0.9245 0.7050
B1 0.0489 0.2244 0.0305
B2 0.3885 0.3573 0.5814
O1 0.1266 0.0923 0.2329
O2 0.2354 0.6954 0.9851
O3 0.2875 0.2507 0.8390
O4 0.2927 0.5982 0.4626
O5 0.3704 0.2236 0.4903
```

Most intense lines, 5° ≤ 2θ ≤ 70°, in order of rising 2θ:
two_theta	d_spacing	intensity
15.52	5.708	64
21.35	4.162	57
25.70	3.466	65
26.35	3.383	84
28.34	3.150	63
29.42	3.036	81
30.04	2.974	43
30.66	2.916	100
37.04	2.427	87
47.81	1.903	48

---

Please write out number 1 again, unchanged.
K2MgZn4P4H2O16: theoretical powder X-ray diffraction pattern (Cu Kα, 1.54184 Å), based on a GGA-PBE-relaxed structure.
Kinematic intensities with the Lorentz-polarization factor, no thermal factor.

Structural model:
```
data_K2MgZn4P4H2O16
_chemical_formula_sum 'K2 Mg1 Zn4 P4 H2 O16'
_cell_length_a 5.2766
_cell_length_b 9.0922
_cell_length_c 9.6297
_cell_angle_alpha 75.08
_cell_angle_beta 80.23
_cell_angle_gamma 73.28
_space_group_name_H-M_alt 'P -1'
_space_group_IT_number 2
loop_
_space_group_symop_operation_xyz
'x,y,z'
'-x,-y,-z'
loop_
_atom_site_label
_atom_site_fract_x
_atom_site_fract_y
_atom_site_fract_z
K1 0.1992 0.1942 0.3434
Mg1 0.5000 0.0000 0.0000
Zn1 0.1111 0.1128 0.7791
Zn2 0.2959 0.3856 0.8886
P1 0.1727 0.7387 0.9422
P2 0.4095 0.7482 0.3938
H1 0.4533 0.5680 0.6044
O1 0.0087 0.7184 0.0978
O2 0.0444 0.8997 0.8462
O3 0.1070 0.8022 0.3882
O4 0.1419 0.6100 0.8735
O5 0.4550 0.3886 0.6848
O6 0.4604 0.6811 0.5603
O7 0.4624 0.1120 0.6574
O8 0.4667 0.7285 0.9573
```

Most intense lines, 5° ≤ 2θ ≤ 70°, in order of rising 2θ:
two_theta	d_spacing	intensity
9.56	9.255	83
15.64	5.665	59
19.20	4.622	59
20.93	4.244	44
23.02	3.863	29
27.52	3.242	100
30.24	2.955	41
30.92	2.892	36
32.08	2.790	57
34.18	2.623	46